Calculated powder XRD pattern
Compound: HoZr2F11
Radiation: a wavelength of 1.5418 Å
Structure: a PBE-relaxed structure
Kinematic intensities with the Lorentz-polarization factor, no thermal factor.

Top 12 peaks for 2θ from 10° to 90°, sorted by position:
two_theta	intensity
14.35	34
22.00	100
22.67	24
24.37	57
25.79	31
28.23	13
29.09	18
33.54	16
44.87	17
44.98	27
47.35	27
50.00	36

Atomic structure:
```
HoZr2F11
1.0
-3.921 5.004 5.343
3.921 -5.004 5.343
3.921 5.004 -5.343
Ho Zr F
2 4 22
Cartesian
0.000 0.000 2.672 Ho
0.000 0.000 8.015 Ho
5.007 1.822 0.000 Zr
1.086 3.182 0.000 Zr
2.835 1.822 5.343 Zr
-1.086 3.182 5.343 Zr
3.921 0.000 0.000 F
4.707 -3.219 3.849 F
1.784 -0.757 1.432 F
4.707 3.219 -1.494 F
6.057 0.757 1.432 F
2.920 2.163 0.000 F
2.920 -2.163 5.343 F
2.136 4.247 -1.432 F
0.787 1.785 1.494 F
1.784 0.757 3.911 F
4.707 3.219 1.494 F
0.000 5.004 0.000 F
-0.787 1.785 3.849 F
2.136 4.247 1.432 F
3.134 3.219 3.849 F
1.784 0.757 6.775 F
1.001 7.167 0.000 F
1.001 2.840 5.343 F
-2.136 4.247 3.911 F
-0.787 1.785 6.837 F
2.136 5.760 3.911 F
-0.787 8.223 1.494 F
```